Record 1
# Ba3Mg9Ag2
Calculated powder X-ray diffraction pattern, Cu Kα. Input: the PBE geometry in Alexandria.
Kinematic intensities with the Lorentz-polarization factor, no thermal factor.

Crystal structure
```
data_Ba3Mg9Ag2
_cell_length_a 5.1087
_cell_length_b 11.2823
_cell_length_c 14.5282
_cell_angle_alpha 90.00
_cell_angle_beta 90.00
_cell_angle_gamma 90.00
_symmetry_space_group_name_H-M 'I m m m'
_symmetry_Int_Tables_number 71
_symmetry_space_group_name_Hall '-I 2 2'
loop_
_atom_site_label
_atom_site_type_symbol
_atom_site_fract_x
_atom_site_fract_y
_atom_site_fract_z
Ba1 Ba 0.0000 0.0000 0.0000
Ba2 Ba 0.0000 0.0000 0.3113
Mg1 Mg 0.0000 0.2824 0.1130
Mg2 Mg 0.0000 0.3495 0.3282
Mg3 Mg 0.0000 0.5000 0.0000
Ag1 Ag 0.0000 0.2210 0.5000
```

Principal peaks in the range 15° ≤ 2θ ≤ 90°, low angle first:
- 2θ = 19.07°, rel. 41, hkl 1 1 0
- 2θ = 19.94°, rel. 42, hkl 0 1 3
- 2θ = 24.29°, rel. 20, hkl 1 2 1
- 2θ = 29.49°, rel. 22, hkl 1 3 0
- 2θ = 29.95°, rel. 100, hkl 1 2 3
- 2θ = 30.09°, rel. 35, hkl 0 3 3
- 2θ = 31.73°, rel. 20, hkl 0 4 0
- 2θ = 35.13°, rel. 30, hkl 2 0 0
- 2θ = 35.54°, rel. 18, hkl 1 0 5
- 2θ = 46.91°, rel. 20, hkl 2 3 3
- 2θ = 48.07°, rel. 16, hkl 2 4 0
- 2θ = 50.14°, rel. 17, hkl 1 2 7

Record 2
# ScCd2AuSe
Calculated powder X-ray diffraction pattern, Cu Kα. Input: the PBE geometry in Alexandria.
Kinematic intensities with the Lorentz-polarization factor, no thermal factor.

Crystal structure
```
data_ScCd2AuSe
_cell_length_a 5.1651
_cell_length_b 5.1651
_cell_length_c 5.2253
_cell_angle_alpha 90.00
_cell_angle_beta 90.00
_cell_angle_gamma 90.00
_symmetry_space_group_name_H-M 'P 4/m m m'
_symmetry_Int_Tables_number 123
_symmetry_space_group_name_Hall '-P 4 2'
loop_
_atom_site_label
_atom_site_type_symbol
_atom_site_fract_x
_atom_site_fract_y
_atom_site_fract_z
Sc1 Sc 0.0000 0.0000 0.0000
Cd1 Cd 0.0000 0.5000 0.5000
Au1 Au 0.0000 0.0000 0.5000
Se1 Se 0.5000 0.5000 0.0000
```

Principal peaks in the range 15° ≤ 2θ ≤ 90°, low angle first:
- 2θ = 16.97°, rel. 84, hkl 0 0 1
- 2θ = 17.17°, rel. 48, hkl 1 0 0
- 2θ = 24.23°, rel. 88, hkl 1 0 1
- 2θ = 29.85°, rel. 25, hkl 1 1 1
- 2θ = 34.32°, rel. 52, hkl 0 0 2
- 2θ = 34.74°, rel. 100, hkl 2 0 0
- 2θ = 38.92°, rel. 57, hkl 2 0 1
- 2θ = 42.80°, rel. 40, hkl 2 1 1
- 2θ = 49.64°, rel. 71, hkl 2 0 2
- 2θ = 49.94°, rel. 35, hkl 2 2 0
- 2θ = 53.14°, rel. 21, hkl 2 2 1
- 2θ = 62.00°, rel. 36, hkl 2 2 2

Record 3
# SmGdHoZr
Calculated powder X-ray diffraction pattern, Cu Kα. Input: the PBE geometry in Alexandria.
Kinematic intensities with the Lorentz-polarization factor, no thermal factor.

Crystal structure
```
data_SmGdHoZr
_cell_length_a 7.8174
_cell_length_b 7.8174
_cell_length_c 7.8174
_cell_angle_alpha 90.00
_cell_angle_beta 90.00
_cell_angle_gamma 90.00
_symmetry_space_group_name_H-M 'F -4 3 m'
_symmetry_Int_Tables_number 216
_symmetry_space_group_name_Hall 'F -4 2 3'
loop_
_atom_site_label
_atom_site_type_symbol
_atom_site_fract_x
_atom_site_fract_y
_atom_site_fract_z
Sm1 Sm 0.0000 0.0000 0.0000
Gd1 Gd 0.2500 0.2500 0.7500
Ho1 Ho 0.2500 0.2500 0.2500
Zr1 Zr 0.0000 0.0000 0.5000
```

Principal peaks in the range 15° ≤ 2θ ≤ 90°, low angle first:
- 2θ = 19.67°, rel. 2, hkl 1 1 1
- 2θ = 22.75°, rel. 2, hkl 2 0 0
- 2θ = 32.39°, rel. 100, hkl 2 2 0
- 2θ = 38.18°, rel. 1, hkl 3 1 1
- 2θ = 39.95°, rel. 1, hkl 2 2 2
- 2θ = 46.47°, rel. 18, hkl 4 0 0
- 2θ = 50.92°, rel. 1, hkl 3 3 1
- 2θ = 52.34°, rel. 1, hkl 4 2 0
- 2θ = 57.78°, rel. 38, hkl 4 2 2
- 2θ = 67.82°, rel. 12, hkl 4 4 0
- 2θ = 77.17°, rel. 16, hkl 6 2 0
- 2θ = 86.19°, rel. 4, hkl 4 4 4

Record 4
# Cs2BaNiH6
Calculated powder X-ray diffraction pattern, Cu Kα. Input: the PBE geometry in Alexandria.
Kinematic intensities with the Lorentz-polarization factor, no thermal factor.

Crystal structure
```
data_Cs2BaNiH6
_cell_length_a 6.3912
_cell_length_b 6.3912
_cell_length_c 6.6200
_cell_angle_alpha 90.00
_cell_angle_beta 90.00
_cell_angle_gamma 120.00
_symmetry_space_group_name_H-M 'P -3 m 1'
_symmetry_Int_Tables_number 164
_symmetry_space_group_name_Hall '-P 3 2"'
loop_
_atom_site_label
_atom_site_type_symbol
_atom_site_fract_x
_atom_site_fract_y
_atom_site_fract_z
Cs1 Cs 0.3333 0.6667 0.3680
Ba1 Ba 0.0000 0.0000 0.0000
Ni1 Ni 0.0000 0.0000 0.5000
H1 H 0.1142 0.2284 0.6395
```

Principal peaks in the range 15° ≤ 2θ ≤ 90°, low angle first:
- 2θ = 20.92°, rel. 97, hkl 0 1 1
- 2θ = 27.92°, rel. 100, hkl 1 1 0
- 2θ = 31.49°, rel. 65, hkl 1 0 2
- 2θ = 35.15°, rel. 27, hkl 2 0 1
- 2θ = 42.58°, rel. 29, hkl 0 2 2
- 2θ = 45.47°, rel. 25, hkl 1 2 1
- 2θ = 49.40°, rel. 20, hkl 3 0 0
- 2θ = 50.25°, rel. 14, hkl 1 1 3
- 2θ = 51.69°, rel. 31, hkl 2 1 2
- 2θ = 57.70°, rel. 13, hkl 2 2 0
- 2θ = 67.23°, rel. 14, hkl 1 3 2
- 2θ = 72.88°, rel. 13, hkl 1 2 4

Record 5
# Rb2TbCdF6
Calculated powder X-ray diffraction pattern, Cu Kα. Input: the PBE geometry in Alexandria.
Kinematic intensities with the Lorentz-polarization factor, no thermal factor.

Crystal structure
```
data_Rb2TbCdF6
_cell_length_a 9.4286
_cell_length_b 9.4286
_cell_length_c 9.4286
_cell_angle_alpha 90.00
_cell_angle_beta 90.00
_cell_angle_gamma 90.00
_symmetry_space_group_name_H-M 'F m -3 m'
_symmetry_Int_Tables_number 225
_symmetry_space_group_name_Hall '-F 4 2 3'
loop_
_atom_site_label
_atom_site_type_symbol
_atom_site_fract_x
_atom_site_fract_y
_atom_site_fract_z
Rb1 Rb 0.2500 0.2500 0.2500
Tb1 Tb 0.0000 0.0000 0.0000
Cd1 Cd 0.0000 0.0000 0.5000
F1 F 0.0000 0.0000 0.2331
```

Principal peaks in the range 15° ≤ 2θ ≤ 90°, low angle first:
- 2θ = 16.28°, rel. 4, hkl 1 1 1
- 2θ = 18.82°, rel. 14, hkl 2 0 0
- 2θ = 26.74°, rel. 100, hkl 2 2 0
- 2θ = 38.18°, rel. 37, hkl 4 0 0
- 2θ = 42.90°, rel. 6, hkl 4 2 0
- 2θ = 47.23°, rel. 42, hkl 4 2 2
- 2θ = 55.10°, rel. 23, hkl 4 4 0
- 2θ = 62.28°, rel. 19, hkl 6 2 0
- 2θ = 69.01°, rel. 7, hkl 4 4 4
- 2θ = 75.45°, rel. 22, hkl 6 4 2
- 2θ = 81.71°, rel. 3, hkl 8 0 0
- 2θ = 87.86°, rel. 11, hkl 6 6 0

Record 6
# Ni12B5As
Calculated powder X-ray diffraction pattern, Cu Kα. Input: the PBE geometry in Alexandria.
Kinematic intensities with the Lorentz-polarization factor, no thermal factor.

Crystal structure
```
data_Ni12B5As
_cell_length_a 6.7084
_cell_length_b 6.7633
_cell_length_c 7.5354
_cell_angle_alpha 90.00
_cell_angle_beta 90.00
_cell_angle_gamma 90.00
_symmetry_space_group_name_H-M 'I m m m'
_symmetry_Int_Tables_number 71
_symmetry_space_group_name_Hall '-I 2 2'
loop_
_atom_site_label
_atom_site_type_symbol
_atom_site_fract_x
_atom_site_fract_y
_atom_site_fract_z
Ni1 Ni 0.0000 0.1844 0.2281
Ni2 Ni 0.1845 0.5000 0.1746
Ni3 Ni 0.2182 0.3191 0.5000
B1 B 0.0000 0.0000 0.0000
B2 B 0.0000 0.3440 0.0000
B3 B 0.0000 0.5000 0.3823
As1 As 0.0000 0.0000 0.5000
```

Principal peaks in the range 15° ≤ 2θ ≤ 90°, low angle first:
- 2θ = 35.84°, rel. 31, hkl 2 0 2
- 2θ = 38.25°, rel. 47, hkl 1 0 3
- 2θ = 41.82°, rel. 48, hkl 0 3 1
- 2θ = 42.58°, rel. 51, hkl 3 1 0
- 2θ = 45.03°, rel. 100, hkl 2 2 2
- 2θ = 47.16°, rel. 55, hkl 2 1 3
- 2θ = 48.31°, rel. 18, hkl 0 0 4
- 2θ = 49.01°, rel. 59, hkl 1 3 2
- 2θ = 50.40°, rel. 27, hkl 3 2 1
- 2θ = 75.96°, rel. 25, hkl 0 3 5
- 2θ = 86.77°, rel. 15, hkl 2 5 3
- 2θ = 88.73°, rel. 23, hkl 5 3 2

Record 7
# Na4Y2Cl9
Calculated powder X-ray diffraction pattern, Cu Kα. Input: the PBE geometry in Alexandria.
Kinematic intensities with the Lorentz-polarization factor, no thermal factor.

Crystal structure
```
data_Na4Y2Cl9
_cell_length_a 12.2904
_cell_length_b 7.0932
_cell_length_c 18.5780
_cell_angle_alpha 90.00
_cell_angle_beta 90.00
_cell_angle_gamma 90.00
_symmetry_space_group_name_H-M 'C 1 2/c 1'
_symmetry_Int_Tables_number 15
loop_
_symmetry_equiv_pos_as_xyz
'x,y,z'
'-x,-y,-z'
'-x,y,-z+1/2'
'x,-y,z+1/2'
'x+1/2,y+1/2,z'
'-x+1/2,-y+1/2,-z'
'-x+1/2,y+1/2,-z+1/2'
'x+1/2,-y+1/2,z+1/2'
loop_
_atom_site_label
_atom_site_type_symbol
_atom_site_fract_x
_atom_site_fract_y
_atom_site_fract_z
Na1 Na 0.1665 0.9999 0.0186
Na2 Na 0.1668 0.9997 0.3226
Y1 Y 0.0001 0.4996 0.1582
Cl1 Cl 0.0000 0.1925 0.2500
Cl2 Cl 0.0132 0.1731 0.9132
Cl3 Cl 0.1537 0.3470 0.7501
Cl4 Cl 0.1570 0.3162 0.4132
Cl5 Cl 0.1703 0.3559 0.0867
```

Principal peaks in the range 15° ≤ 2θ ≤ 90°, low angle first:
- 2θ = 17.30°, rel. 44, hkl 1 1 2
- 2θ = 24.02°, rel. 37, hkl 2 0 4
- 2θ = 29.01°, rel. 100, hkl 3 1 3
- 2θ = 35.02°, rel. 22, hkl 4 0 -4
- 2θ = 38.60°, rel. 91, hkl 3 1 6
- 2θ = 43.57°, rel. 20, hkl 4 2 -4
- 2θ = 44.22°, rel. 59, hkl 6 0 0
- 2θ = 51.20°, rel. 15, hkl 3 1 9
- 2θ = 53.77°, rel. 17, hkl 6 2 3
- 2θ = 60.12°, rel. 21, hkl 6 2 6
- 2θ = 77.25°, rel. 14, hkl 6 0 12
- 2θ = 77.60°, rel. 18, hkl 9 1 6

Record 8
# Tc2AgSbBr
Calculated powder X-ray diffraction pattern, Cu Kα. Input: the PBE geometry in Alexandria.
Kinematic intensities with the Lorentz-polarization factor, no thermal factor.

Crystal structure
```
data_Tc2AgSbBr
_cell_length_a 4.6139
_cell_length_b 4.6139
_cell_length_c 5.5018
_cell_angle_alpha 90.00
_cell_angle_beta 90.00
_cell_angle_gamma 90.00
_symmetry_space_group_name_H-M 'P 4/m m m'
_symmetry_Int_Tables_number 123
_symmetry_space_group_name_Hall '-P 4 2'
loop_
_atom_site_label
_atom_site_type_symbol
_atom_site_fract_x
_atom_site_fract_y
_atom_site_fract_z
Tc1 Tc 0.0000 0.5000 0.0000
Ag1 Ag 0.0000 0.0000 0.5000
Sb1 Sb 0.5000 0.5000 0.5000
Br1 Br 0.5000 0.5000 0.0000
```

Principal peaks in the range 15° ≤ 2θ ≤ 90°, low angle first:
- 2θ = 19.24°, rel. 12, hkl 1 0 0
- 2θ = 25.19°, rel. 8, hkl 1 0 1
- 2θ = 31.89°, rel. 100, hkl 1 1 1
- 2θ = 32.55°, rel. 51, hkl 0 0 2
- 2θ = 39.04°, rel. 61, hkl 2 0 0
- 2θ = 51.71°, rel. 53, hkl 2 0 2
- 2θ = 56.41°, rel. 20, hkl 2 2 0
- 2θ = 57.66°, rel. 18, hkl 1 1 3
- 2θ = 66.27°, rel. 23, hkl 3 1 1
- 2θ = 66.66°, rel. 24, hkl 2 2 2
- 2θ = 81.47°, rel. 14, hkl 2 0 4
- 2θ = 84.94°, rel. 12, hkl 3 1 3

Record 9
# Nb3VMo
Calculated powder X-ray diffraction pattern, Cu Kα. Input: the PBE geometry in Alexandria.
Kinematic intensities with the Lorentz-polarization factor, no thermal factor.

Crystal structure
```
data_Nb3VMo
_cell_length_a 13.2116
_cell_length_b 4.5896
_cell_length_c 5.6137
_cell_angle_alpha 90.00
_cell_angle_beta 97.20
_cell_angle_gamma 90.00
_symmetry_space_group_name_H-M 'C 1 2/m 1'
_symmetry_Int_Tables_number 12
loop_
_symmetry_equiv_pos_as_xyz
'x,y,z'
'-x,-y,-z'
'-x,y,-z'
'x,-y,z'
'x+1/2,y+1/2,z'
'-x+1/2,-y+1/2,-z'
'-x+1/2,y+1/2,-z'
'x+1/2,-y+1/2,z'
loop_
_atom_site_label
_atom_site_type_symbol
_atom_site_fract_x
_atom_site_fract_y
_atom_site_fract_z
Nb1 Nb 0.0051 0.0000 0.2556
Nb2 Nb 0.1038 0.5000 0.9497
Nb3 Nb 0.2030 0.0000 0.6504
V1 V 0.0943 0.5000 0.4533
Mo1 Mo 0.1996 0.0000 0.1540
```

Principal peaks in the range 15° ≤ 2θ ≤ 90°, low angle first:
- 2θ = 39.20°, rel. 100, hkl 0 2 0
- 2θ = 39.59°, rel. 64, hkl 5 1 0
- 2θ = 39.76°, rel. 32, hkl 4 0 -2
- 2θ = 56.72°, rel. 11, hkl 6 0 2
- 2θ = 57.11°, rel. 21, hkl 4 2 -2
- 2θ = 70.94°, rel. 6, hkl 2 0 4
- 2θ = 71.13°, rel. 21, hkl 1 3 2
- 2θ = 71.39°, rel. 11, hkl 5 3 0
- 2θ = 71.51°, rel. 11, hkl 3 1 -4
- 2θ = 72.34°, rel. 10, hkl 9 1 -2
- 2θ = 84.21°, rel. 7, hkl 2 2 4
- 2θ = 85.27°, rel. 6, hkl 10 2 0

Record 10
# Tb2Dy6Ho
Calculated powder X-ray diffraction pattern, Cu Kα. Input: the PBE geometry in Alexandria.
Kinematic intensities with the Lorentz-polarization factor, no thermal factor.

Crystal structure
```
data_Tb2Dy6Ho
_cell_length_a 10.6042
_cell_length_b 10.6042
_cell_length_c 5.0009
_cell_angle_alpha 90.00
_cell_angle_beta 90.00
_cell_angle_gamma 90.00
_symmetry_space_group_name_H-M 'P 42/m n m'
_symmetry_Int_Tables_number 136
_symmetry_space_group_name_Hall '-P 4n 2n'
loop_
_atom_site_label
_atom_site_type_symbol
_atom_site_fract_x
_atom_site_fract_y
_atom_site_fract_z
Tb1 Tb 0.1665 0.1665 0.0000
Dy1 Dy 0.0001 0.3333 0.5000
Dy2 Dy 0.1666 0.8334 0.0000
Ho1 Ho 0.0000 0.0000 0.5000
```

Principal peaks in the range 15° ≤ 2θ ≤ 90°, low angle first:
- 2θ = 30.98°, rel. 100, hkl 3 0 1
- 2θ = 35.93°, rel. 51, hkl 3 3 0
- 2θ = 51.72°, rel. 36, hkl 6 0 0
- 2θ = 61.52°, rel. 43, hkl 6 3 1
- 2θ = 64.57°, rel. 12, hkl 6 0 2
- 2θ = 76.16°, rel. 6, hkl 6 6 0
- 2θ = 84.46°, rel. 18, hkl 9 0 1
- 2θ = 87.20°, rel. 17, hkl 9 3 0

Record 11
# LiCu6As2
Calculated powder X-ray diffraction pattern, Cu Kα. Input: the PBE geometry in Alexandria.
Kinematic intensities with the Lorentz-polarization factor, no thermal factor.

Crystal structure
```
data_LiCu6As2
_cell_length_a 3.7492
_cell_length_b 3.7492
_cell_length_c 9.3243
_cell_angle_alpha 90.00
_cell_angle_beta 90.00
_cell_angle_gamma 90.00
_symmetry_space_group_name_H-M 'P 4/m m m'
_symmetry_Int_Tables_number 123
_symmetry_space_group_name_Hall '-P 4 2'
loop_
_atom_site_label
_atom_site_type_symbol
_atom_site_fract_x
_atom_site_fract_y
_atom_site_fract_z
Li1 Li 0.0000 0.0000 0.0000
Cu1 Cu 0.0000 0.0000 0.5000
Cu2 Cu 0.0000 0.5000 0.3108
Cu3 Cu 0.5000 0.5000 0.5000
As1 As 0.5000 0.5000 0.1416
```

Principal peaks in the range 15° ≤ 2θ ≤ 90°, low angle first:
- 2θ = 23.73°, rel. 23, hkl 1 0 0
- 2θ = 25.61°, rel. 15, hkl 1 0 1
- 2θ = 37.59°, rel. 13, hkl 1 0 3
- 2θ = 39.09°, rel. 54, hkl 1 1 2
- 2θ = 44.94°, rel. 100, hkl 1 1 3
- 2θ = 48.57°, rel. 48, hkl 2 0 0
- 2θ = 48.84°, rel. 13, hkl 0 0 5
- 2θ = 71.12°, rel. 14, hkl 2 2 0
- 2θ = 71.34°, rel. 16, hkl 2 0 5
- 2θ = 80.24°, rel. 10, hkl 2 0 6
- 2θ = 84.28°, rel. 10, hkl 3 1 2
- 2θ = 88.20°, rel. 26, hkl 3 1 3

Record 12
# Rb5Tl2O5
Calculated powder X-ray diffraction pattern, Cu Kα. Input: the PBE geometry in Alexandria.
Kinematic intensities with the Lorentz-polarization factor, no thermal factor.

Crystal structure
```
data_Rb5Tl2O5
_cell_length_a 13.2321
_cell_length_b 3.9669
_cell_length_c 10.8978
_cell_angle_alpha 90.00
_cell_angle_beta 104.81
_cell_angle_gamma 90.00
_symmetry_space_group_name_H-M 'C 1 2/m 1'
_symmetry_Int_Tables_number 12
loop_
_symmetry_equiv_pos_as_xyz
'x,y,z'
'-x,-y,-z'
'-x,y,-z'
'x,-y,z'
'x+1/2,y+1/2,z'
'-x+1/2,-y+1/2,-z'
'-x+1/2,y+1/2,-z'
'x+1/2,-y+1/2,z'
loop_
_atom_site_label
_atom_site_type_symbol
_atom_site_fract_x
_atom_site_fract_y
_atom_site_fract_z
Rb1 Rb 0.0000 0.0000 0.0000
Rb2 Rb 0.1504 0.0000 0.5515
Rb3 Rb 0.2400 0.5000 0.1347
Tl1 Tl 0.0219 0.5000 0.2884
O1 O 0.0000 0.5000 0.5000
O2 O 0.1123 0.5000 0.8771
O3 O 0.1211 0.0000 0.2880
```

Principal peaks in the range 15° ≤ 2θ ≤ 90°, low angle first:
- 2θ = 25.59°, rel. 44, hkl 1 1 1
- 2θ = 26.99°, rel. 35, hkl 4 0 -1
- 2θ = 27.93°, rel. 99, hkl 1 1 -2
- 2θ = 28.72°, rel. 46, hkl 4 0 -2
- 2θ = 30.08°, rel. 87, hkl 1 1 2
- 2θ = 30.47°, rel. 46, hkl 3 1 -1
- 2θ = 30.78°, rel. 55, hkl 3 1 0
- 2θ = 32.06°, rel. 74, hkl 2 0 3
- 2θ = 32.51°, rel. 82, hkl 3 1 -2
- 2θ = 33.34°, rel. 100, hkl 2 0 -4
- 2θ = 45.74°, rel. 40, hkl 0 2 0
- 2θ = 53.92°, rel. 44, hkl 7 1 -2